Starting from a cell relaxed with PBE, the PXRD pattern of Mg6TiC was simulated for copper Kα.

Crystal structure
a = 3.2145 Å, b = 9.6840 Å, c = 10.4542 Å
α = 90.00°, β = 90.00°, γ = 90.00°
Fractional coordinates of all 16 atoms:
Mg 0.0000 0.0000 0.0000
Mg 0.0000 0.1569 0.2734
Mg 0.0000 0.3431 0.7734
Mg 0.0000 0.5000 0.5000
Mg 0.0000 0.6569 0.7734
Mg 0.0000 0.8431 0.2734
Mg 0.5000 0.0000 0.7532
Mg 0.5000 0.2450 0.5272
Mg 0.5000 0.2550 0.0272
Mg 0.5000 0.5000 0.2532
Mg 0.5000 0.7450 0.0272
Mg 0.5000 0.7550 0.5272
Ti 0.0000 0.0000 0.5036
Ti 0.0000 0.5000 0.0036
C 0.5000 0.0000 0.3863
C 0.5000 0.5000 0.8863

Principal peaks in the range 10 to 80 degrees two-theta, by angle:
2θ 12.46, d 7.104, I 43; 2θ 16.96, d 5.227, I 18; 2θ 28.95, d 3.084, I 18; 2θ 30.52, d 2.929, I 15; 2θ 34.31, d 2.614, I 38; 2θ 37.14, d 2.421, I 14; 2θ 37.74, d 2.383, I 100; 2θ 39.23, d 2.297, I 17; 2θ 41.09, d 2.197, I 24; 2θ 63.72, d 1.460, I 16

Starting from a cell relaxed with PBE, the PXRD pattern of SiBr2 was simulated for copper Kα.

Crystal structure
a = 11.0614 Å, b = 15.9756 Å, c = 16.1450 Å
α = 90.00°, β = 119.90°, γ = 90.00°
Fractional coordinates of all 60 atoms:
Si 0.0526 0.1694 0.4600
Si 0.0532 0.1804 0.9639
Si 0.0532 0.3196 0.4639
Si 0.0526 0.3306 0.9600
Si 0.2705 0.1388 0.9800
Si 0.2705 0.3612 0.4800
Si 0.2920 0.1273 0.5224
Si 0.2920 0.3727 0.0224
Si 0.4272 0.2469 0.0728
Si 0.4272 0.2531 0.5728
Si 0.5728 0.7469 0.4272
Si 0.5728 0.7531 0.9272
Si 0.7080 0.6273 0.9776
Si 0.7080 0.8727 0.4776
Si 0.7295 0.6388 0.5200
Si 0.7295 0.8612 0.0200
Si 0.9474 0.6694 0.0400
Si 0.9468 0.6804 0.5361
Si 0.9468 0.8196 0.0361
Si 0.9474 0.8306 0.5400
Br 0.0332 0.6197 0.9506
Br 0.0332 0.8803 0.4506
Br 0.0497 0.1407 0.0953
Br 0.0497 0.3593 0.5953
Br 0.0766 0.6253 0.1904
Br 0.0766 0.8747 0.6904
Br 0.1266 0.6261 0.6664
Br 0.1266 0.8739 0.1664
Br 0.2471 0.1458 0.8345
Br 0.2471 0.3542 0.3345
Br 0.3138 0.0703 0.4043
Br 0.3138 0.4297 0.9043
Br 0.3387 0.0116 0.0426
Br 0.3387 0.4884 0.5426
Br 0.3650 0.0377 0.6440
Br 0.3650 0.4623 0.1440
Br 0.3854 0.7461 0.9447
Br 0.3854 0.7539 0.4447
Br 0.4888 0.2239 0.2254
Br 0.4888 0.2761 0.7254
Br 0.5112 0.7239 0.2746
Br 0.5112 0.7761 0.7746
Br 0.6146 0.2461 0.5553
Br 0.6146 0.2539 0.0553
Br 0.6350 0.5377 0.8560
Br 0.6350 0.9623 0.3560
Br 0.6613 0.5116 0.4574
Br 0.6613 0.9884 0.9574
Br 0.6862 0.5703 0.0957
Br 0.6862 0.9297 0.5957
Br 0.7529 0.6458 0.6655
Br 0.7529 0.8542 0.1655
Br 0.8734 0.1261 0.8336
Br 0.8734 0.3739 0.3336
Br 0.9234 0.1253 0.3096
Br 0.9234 0.3747 0.8096
Br 0.9503 0.6407 0.4047
Br 0.9503 0.8593 0.9047
Br 0.9668 0.1197 0.5494
Br 0.9668 0.3803 0.0494

Principal peaks in the range 10 to 80 degrees two-theta, by angle:
2θ 12.64, d 7.005, I 32; 2θ 24.15, d 3.685, I 100; 2θ 24.98, d 3.564, I 23; 2θ 25.05, d 3.555, I 13; 2θ 25.38, d 3.510, I 33; 2θ 26.08, d 3.417, I 13; 2θ 27.75, d 3.215, I 21; 2θ 27.86, d 3.202, I 30; 2θ 27.95, d 3.193, I 15; 2θ 28.33, d 3.150, I 15